Structure and simulated powder diffractogram of Er2TlCu3S5 (a cell relaxed with PBE; Cu Kα).

Most intense lines, 2θ = 10–90°, sorted by position:
| 2θ/deg | intensity |
| --- | --- |
| 26.1 | 31 |
| 26.4 | 63 |
| 28.8 | 100 |
| 30.5 | 70 |
| 32.0 | 38 |
| 32.9 | 58 |
| 37.4 | 44 |
| 41.6 | 33 |
| 46.4 | 39 |
| 49.6 | 52 |

Atomic structure:
```
22
Lattice="1.9577 -6.8923 0.0000 1.9577 6.8923 0.0000 0.0000 0.0000 16.3282" Properties=species:S:1:pos:R:3 pbc="T T T"
Er 1.9577 4.2539 9.6901
Er 1.9577 4.2539 14.8023
Er 1.9577 -4.2539 1.5259
Er 1.9577 -4.2539 6.6382
Tl 1.9577 5.9215 4.0821
Tl 1.9577 -5.9215 12.2462
Cu 1.9577 2.0341 4.0821
Cu 1.9577 1.1493 8.8144
Cu 1.9577 1.1493 15.6780
Cu 1.9577 -1.1493 0.6502
Cu 1.9577 -1.1493 7.5139
Cu 1.9577 -2.0341 12.2462
S 1.9577 4.5776 1.1529
S 1.9577 4.5776 7.0112
S 1.9577 3.5759 12.2462
S 1.9577 0.8465 1.8774
S 1.9577 0.8465 6.2867
S 1.9577 -0.8465 10.0415
S 1.9577 -0.8465 14.4509
S 1.9577 -3.5759 4.0821
S 1.9577 -4.5776 9.3171
S 1.9577 -4.5776 15.1753
```

***

Structure and simulated powder diffractogram of PmSmPu (a cell relaxed with PBE; Cu Kα).

Most intense lines, 2θ = 10–90°, sorted by position:
| 2θ/deg | intensity |
| --- | --- |
| 20.8 | 44 |
| 34.3 | 100 |
| 40.4 | 25 |
| 49.3 | 18 |
| 54.0 | 11 |
| 61.4 | 38 |
| 65.6 | 8 |
| 72.2 | 12 |
| 76.1 | 8 |
| 82.4 | 17 |

Atomic structure:
```
3
Lattice="0.0000 3.6994 3.6994 3.6994 0.0000 3.6994 3.6994 3.6994 0.0000" Properties=species:S:1:pos:R:3 pbc="T T T"
Pm 0.0000 0.0000 0.0000
Sm 3.6994 3.6994 3.6994
Pu 1.8497 1.8497 1.8497
```